This entry pairs a crystal structure of CsCoSe2 with its computed powder diffractogram. Radiation: copper Kα. Structure: a PBE-relaxed structure.
Intensities are scaled so that the largest is 100.

Structure:
```
data_CsCoSe2
_cell_length_a 10.376
_cell_length_b 10.462
_cell_length_c 6.030
_cell_angle_alpha 90.00
_cell_angle_beta 90.00
_cell_angle_gamma 90.00
_space_group_name_H-M_alt 'C c c m'
_space_group_IT_number 66
_space_group_name_Hall '-C 2 2c'
loop_
_atom_site_label
_atom_site_fract_x
_atom_site_fract_y
_atom_site_fract_z
Cs1 0.250 0.250 0.000
Co1 0.000 0.000 0.250
Se1 0.117 0.115 0.500
```

Peak list (10 most intense, 2θ = 10–90°, sorted by position)
- 12.01 deg, d = 7.367 Å, I 100, (1 1 0)
- 19.02 deg, d = 4.666 Å, I 10, (1 1 1)
- 24.16 deg, d = 3.684 Å, I 32, (2 2 0)
- 28.39 deg, d = 3.144 Å, I 28, (2 2 1)
- 29.63 deg, d = 3.015 Å, I 13, (0 0 2)
- 30.85 deg, d = 2.899 Å, I 43, (1 3 1)
- 31.01 deg, d = 2.884 Å, I 42, (3 1 1)
- 34.33 deg, d = 2.612 Å, I 10, (0 2 2)
- 34.40 deg, d = 2.607 Å, I 10, (2 0 2)
- 49.50 deg, d = 1.841 Å, I 24, (4 4 0)

---

This entry pairs a crystal structure of K2TlSiN with its computed powder diffractogram. Radiation: copper Kα. Structure: a PBE-relaxed structure.
Intensities are scaled so that the largest is 100.

Structure:
```
data_K2TlSiN
_cell_length_a 6.743
_cell_length_b 6.743
_cell_length_c 4.226
_cell_angle_alpha 90.00
_cell_angle_beta 90.00
_cell_angle_gamma 90.00
_space_group_name_H-M_alt 'P 4/m m m'
_space_group_IT_number 123
_space_group_name_Hall '-P 4 2'
loop_
_atom_site_label
_atom_site_fract_x
_atom_site_fract_y
_atom_site_fract_z
K1 0.000 0.500 0.000
Tl1 0.000 0.000 0.000
Si1 0.500 0.500 0.500
N1 0.000 0.000 0.500
```

Peak list (10 most intense, 2θ = 10–90°, sorted by position)
- 13.13 deg, d = 6.743 Å, I 100, (1 0 0)
- 18.61 deg, d = 4.768 Å, I 35, (1 1 0)
- 21.02 deg, d = 4.226 Å, I 30, (0 0 1)
- 24.86 deg, d = 3.581 Å, I 64, (1 0 1)
- 26.43 deg, d = 3.372 Å, I 65, (2 0 0)
- 29.62 deg, d = 3.016 Å, I 30, (2 1 0)
- 34.02 deg, d = 2.636 Å, I 36, (2 0 1)
- 36.61 deg, d = 2.455 Å, I 47, (2 1 1)
- 37.73 deg, d = 2.384 Å, I 24, (2 2 0)
- 51.01 deg, d = 1.790 Å, I 20, (2 0 2)

---

This entry pairs a crystal structure of HfSiB2 with its computed powder diffractogram. Radiation: copper Kα. Structure: a PBE-relaxed structure.
Intensities are scaled so that the largest is 100.

Structure:
```
data_HfSiB2
_cell_length_a 5.854
_cell_length_b 5.854
_cell_length_c 5.911
_cell_angle_alpha 90.00
_cell_angle_beta 90.00
_cell_angle_gamma 90.00
_space_group_name_H-M_alt 'I -4 2 d'
_space_group_IT_number 122
_space_group_name_Hall 'I -4 2bw'
loop_
_atom_site_label
_atom_site_fract_x
_atom_site_fract_y
_atom_site_fract_z
Hf1 0.000 0.000 0.000
Si1 0.000 0.000 0.500
B1 0.201 0.250 0.625
```

Peak list (10 most intense, 2θ = 10–90°, sorted by position)
- 21.36 deg, d = 4.159 Å, I 98, (1 0 1)
- 30.54 deg, d = 2.927 Å, I 73, (2 0 0)
- 37.39 deg, d = 2.405 Å, I 100, (1 1 2)
- 37.58 deg, d = 2.394 Å, I 54, (2 1 1)
- 43.74 deg, d = 2.070 Å, I 36, (2 2 0)
- 49.17 deg, d = 1.853 Å, I 13, (3 0 1)
- 58.64 deg, d = 1.574 Å, I 14, (2 1 3)
- 58.86 deg, d = 1.569 Å, I 54, (3 1 2)
- 71.52 deg, d = 1.319 Å, I 17, (2 0 4)
- 72.17 deg, d = 1.309 Å, I 14, (4 2 0)

---

This entry pairs a crystal structure of RePO with its computed powder diffractogram. Radiation: copper Kα. Structure: a PBE-relaxed structure.
Intensities are scaled so that the largest is 100.

Structure:
```
data_RePO
_cell_length_a 5.112
_cell_length_b 2.983
_cell_length_c 5.830
_cell_angle_alpha 90.00
_cell_angle_beta 90.22
_cell_angle_gamma 90.00
_space_group_name_H-M_alt 'P 1 2/m 1'
_space_group_IT_number 10
_space_group_name_Hall '-P 2y'
loop_
_atom_site_label
_atom_site_fract_x
_atom_site_fract_y
_atom_site_fract_z
Re1 0.000 0.000 0.235
P1 0.278 0.500 0.001
O1 0.233 0.000 0.501
```

Peak list (10 most intense, 2θ = 10–90°, sorted by position)
- 17.35 deg, d = 5.112 Å, I 100, (1 0 0)
- 29.96 deg, d = 2.983 Å, I 24, (0 1 0)
- 30.67 deg, d = 2.915 Å, I 14, (0 0 2)
- 34.83 deg, d = 2.576 Å, I 41, (1 1 0)
- 35.39 deg, d = 2.536 Å, I 18, (1 0 -2)
- 35.51 deg, d = 2.528 Å, I 18, (1 0 2)
- 43.41 deg, d = 2.085 Å, I 23, (0 1 2)
- 46.81 deg, d = 1.941 Å, I 19, (2 1 0)
- 47.08 deg, d = 1.930 Å, I 29, (1 1 2)
- 47.20 deg, d = 1.925 Å, I 12, (2 0 -2)

---

This entry pairs a crystal structure of Ac11Cd9Ru4 with its computed powder diffractogram. Radiation: copper Kα. Structure: a PBE-relaxed structure.
Intensities are scaled so that the largest is 100.

Structure:
```
data_Ac11Cd9Ru4
_cell_length_a 15.360
_cell_length_b 23.087
_cell_length_c 4.093
_cell_angle_alpha 90.00
_cell_angle_beta 90.00
_cell_angle_gamma 90.00
_space_group_name_H-M_alt 'C m m m'
_space_group_IT_number 65
_space_group_name_Hall '-C 2 2'
loop_
_atom_site_label
_atom_site_fract_x
_atom_site_fract_y
_atom_site_fract_z
Ac1 0.000 0.000 0.000
Ac2 0.000 0.164 0.000
Ac3 0.000 0.377 0.000
Ac4 0.186 0.500 0.000
Ac5 0.248 0.334 0.000
Cd1 0.000 0.500 0.500
Cd2 0.102 0.265 0.500
Cd3 0.148 0.070 0.500
Ru1 0.151 0.397 0.500
```

Peak list (10 most intense, 2θ = 10–90°, sorted by position)
- 30.27 deg, d = 2.953 Å, I 10, (3 3 1)
- 31.94 deg, d = 2.802 Å, I 100, (4 0 1)
- 32.95 deg, d = 2.718 Å, I 37, (4 6 0)
- 34.09 deg, d = 2.630 Å, I 23, (3 5 1)
- 35.48 deg, d = 2.530 Å, I 10, (1 9 0)
- 35.93 deg, d = 2.499 Å, I 10, (6 2 0)
- 44.25 deg, d = 2.047 Å, I 18, (0 0 2)
- 56.26 deg, d = 1.635 Å, I 15, (4 6 2)
- 58.23 deg, d = 1.584 Å, I 13, (6 2 2)
- 73.67 deg, d = 1.286 Å, I 9, (4 0 3)

---

This entry pairs a crystal structure of Tb4Pm5Sn2 with its computed powder diffractogram. Radiation: copper Kα. Structure: a PBE-relaxed structure.
Intensities are scaled so that the largest is 100.

Structure:
```
data_Tb4Pm5Sn2
_cell_length_a 5.2875
_cell_length_b 5.2875
_cell_length_c 46.6866
_cell_angle_alpha 90.00
_cell_angle_beta 90.00
_cell_angle_gamma 120.00
_space_group_name_H-M_alt 'R -3 m'
_space_group_IT_number 166
_space_group_name_Hall '-R 3 2"'
loop_
_atom_site_label
_atom_site_fract_x
_atom_site_fract_y
_atom_site_fract_z
Tb1 0.0000 0.0000 0.0724
Tb2 0.0000 0.0000 0.2267
Pm1 0.0000 0.0000 0.0000
Pm2 0.0000 0.0000 0.1474
Pm3 0.0000 0.0000 0.3041
Sn1 0.0000 0.0000 0.3817
```

Peak list (10 most intense, 2θ = 10–90°, sorted by position)
- 19.48 deg, d = 4.557 Å, I 21, (1 0 1)
- 31.66 deg, d = 2.826 Å, I 100, (1 0 13)
- 33.24 deg, d = 2.696 Å, I 20, (0 1 14)
- 33.91 deg, d = 2.644 Å, I 95, (1 1 0)
- 47.07 deg, d = 1.931 Å, I 33, (0 2 13)
- 54.92 deg, d = 1.672 Å, I 14, (0 1 26)
- 59.27 deg, d = 1.559 Å, I 34, (2 1 13)
- 60.67 deg, d = 1.526 Å, I 18, (3 0 0)
- 64.38 deg, d = 1.447 Å, I 12, (1 1 27)
- 80.16 deg, d = 1.197 Å, I 15, (1 3 13)